Starting from DFT lattice parameters and positions (GGA-PBE), the powder diffractogram of Rb2BaCoH6 was calculated for a wavelength of 1.5418 Å.
Neutral-atom scattering factors, no anomalous dispersion.

Cell and atoms:
Cell lengths 6.0604, 6.0604, 6.5363 Å; angles 90.00, 90.00, 120.00 degrees
Fractional coordinates of all 10 atoms:
1 Rb 0.3333 0.6667 0.1121
2 Rb 0.6667 0.3333 0.8879
3 Ba 0.0000 0.0000 0.5000
4 Co 0.0000 0.0000 0.0000
5 H 0.1209 0.2418 0.8591
6 H 0.1209 0.8791 0.8591
7 H 0.2418 0.1209 0.1409
8 H 0.7582 0.8791 0.8591
9 H 0.8791 0.1209 0.1409
10 H 0.8791 0.7582 0.1409

Top 8 peaks for 15° ≤ 2θ ≤ 90°, in order of rising 2θ:
d (Å)	2θ (°)	I_rel
5.248	16.89	37
4.092	21.72	84
3.030	29.48	100
2.774	32.27	63
2.435	36.91	23
2.222	40.60	30
2.046	44.27	27
1.696	54.08	28

Starting from DFT lattice parameters and positions (GGA-PBE), the powder diffractogram of Ga2Pd8Se was calculated for a wavelength of 1.5418 Å.
Neutral-atom scattering factors, no anomalous dispersion.

Cell and atoms:
Cell lengths 7.7777, 7.7777, 5.7624 Å; angles 106.72, 106.72, 31.33 degrees
Fractional coordinates of all 11 atoms:
1 Ga 0.1841 0.1841 0.2052
2 Ga 0.8159 0.8159 0.7948
3 Pd 0.0244 0.0244 0.2640
4 Pd 0.2022 0.2022 0.7943
5 Pd 0.3379 0.3379 0.5421
6 Pd 0.4027 0.4027 0.0487
7 Pd 0.5973 0.5973 0.9513
8 Pd 0.6621 0.6621 0.4579
9 Pd 0.7978 0.7978 0.2057
10 Pd 0.9756 0.9756 0.7360
11 Se 0.5000 0.5000 0.5000

Top 8 peaks for 15° ≤ 2θ ≤ 90°, in order of rising 2θ:
d (Å)	2θ (°)	I_rel
2.527	35.53	36
2.397	37.53	59
2.364	38.06	100
2.310	38.99	24
2.187	41.28	79
2.100	43.08	73
2.061	43.92	39
1.873	48.61	17

Starting from DFT lattice parameters and positions (GGA-PBE), the powder diffractogram of Pr3Tm2Tl4 was calculated for a wavelength of 1.5418 Å.
Neutral-atom scattering factors, no anomalous dispersion.

Cell and atoms:
Cell lengths 9.5763, 9.5763, 6.2793 Å; angles 94.19, 94.19, 70.60 degrees
Fractional coordinates of all 18 atoms:
1 Pr 0.0389 0.9611 0.7500
2 Pr 0.2884 0.4896 0.5802
3 Pr 0.4896 0.2884 0.0802
4 Pr 0.5104 0.7116 0.9198
5 Pr 0.7116 0.5104 0.4198
6 Pr 0.9611 0.0389 0.2500
7 Tm 0.0955 0.3487 0.1381
8 Tm 0.3487 0.0955 0.6381
9 Tm 0.6513 0.9045 0.3619
10 Tm 0.9045 0.6513 0.8619
11 Tl 0.0355 0.3064 0.6233
12 Tl 0.2170 0.6386 0.0614
13 Tl 0.3064 0.0355 0.1233
14 Tl 0.3614 0.7830 0.4386
15 Tl 0.6386 0.2170 0.5614
16 Tl 0.6936 0.9645 0.8767
17 Tl 0.7830 0.3614 0.9386
18 Tl 0.9645 0.6936 0.3767

Top 8 peaks for 15° ≤ 2θ ≤ 90°, in order of rising 2θ:
d (Å)	2θ (°)	I_rel
3.141	28.41	30
3.001	29.77	100
2.908	30.74	77
2.767	32.36	58
2.607	34.40	34
2.552	35.17	57
2.381	37.78	42
2.335	38.56	37

What did the first record say?
Starting from DFT lattice parameters and positions (GGA-PBE), the powder diffractogram of Rb2BaCoH6 was calculated for a wavelength of 1.5418 Å.
Neutral-atom scattering factors, no anomalous dispersion.

Cell and atoms:
Cell lengths 6.0604, 6.0604, 6.5363 Å; angles 90.00, 90.00, 120.00 degrees
Fractional coordinates of all 10 atoms:
1 Rb 0.3333 0.6667 0.1121
2 Rb 0.6667 0.3333 0.8879
3 Ba 0.0000 0.0000 0.5000
4 Co 0.0000 0.0000 0.0000
5 H 0.1209 0.2418 0.8591
6 H 0.1209 0.8791 0.8591
7 H 0.2418 0.1209 0.1409
8 H 0.7582 0.8791 0.8591
9 H 0.8791 0.1209 0.1409
10 H 0.8791 0.7582 0.1409

Top 8 peaks for 15° ≤ 2θ ≤ 90°, in order of rising 2θ:
d (Å)	2θ (°)	I_rel
5.248	16.89	37
4.092	21.72	84
3.030	29.48	100
2.774	32.27	63
2.435	36.91	23
2.222	40.60	30
2.046	44.27	27
1.696	54.08	28